No. 1
The following is a computed X-ray powder pattern of YN. It was derived from a structure optimized by DFT (PBE), using Cu Ka.
No peak broadening, texture or thermal motion is included.

Atomic structure:
```
YN
1.0
3.0085 0.0000 0.0000
0.0000 3.0085 0.0000
0.0000 0.0000 3.0085
Y N
1 1
Cartesian
0.0000 0.0000 0.0000
1.5043 1.5043 1.5043
```

Main lines, by intensity (5 to 70 degrees two-theta):
| d_spacing | Position (°2θ) | intensity |
| --- | --- | --- |
| 2.127 | 42.5 | 100.0 |
| 3.009 | 29.7 | 74.7 |
| 1.345 | 69.9 | 26.6 |
| 1.737 | 52.7 | 20.6 |
| 1.504 | 61.7 | 15.4 |

No. 2
The following is a computed X-ray powder pattern of BiPS4. It was derived from a structure optimized by DFT (PBE), using Cu Ka.
No peak broadening, texture or thermal motion is included.

Atomic structure:
```
BiPS4
1.0
-5.4022 5.6403 9.9402
5.4022 -5.6403 9.9402
5.4022 5.6403 -9.9402
Bi P S
8 8 32
Cartesian
5.4022 -2.8202 7.0001
5.4022 2.8202 -2.1621
0.0000 2.8202 2.1621
5.4022 2.8202 2.9401
0.0000 2.8202 7.0001
5.4022 2.8202 7.7781
0.0000 2.8202 12.1023
0.0000 8.4605 2.9401
2.7011 2.4102 0.0000
0.3283 0.0000 4.9701
5.7305 0.0000 4.9701
2.7011 -2.4102 9.9402
2.7011 8.0505 0.0000
-0.3283 5.6403 4.9701
5.0739 5.6403 4.9701
2.7011 3.2301 9.9402
6.8717 -1.7245 4.8979
8.1356 2.0604 -1.6934
6.8717 3.9158 -4.8979
4.3998 1.2570 -0.1395
1.0024 1.2570 0.1395
4.6067 5.5218 -6.6789
4.6067 0.1185 3.2614
2.6689 3.5799 -1.6934
8.0712 2.0604 1.6934
4.6067 -0.1185 6.6789
4.6067 5.7588 -3.2614
6.4047 4.3833 -0.1395
4.3998 -1.2570 10.0797
1.4695 1.7245 4.8979
2.7333 3.5799 1.6934
6.8717 1.7245 5.0423
-1.4695 3.9158 4.8979
2.6689 2.0604 8.2468
3.9328 3.9158 5.0423
1.0024 6.8973 -0.1395
-1.0025 1.2570 10.0797
0.7956 -0.1185 13.2016
0.7956 5.7588 3.2614
-2.6689 3.5799 8.2468
2.7333 2.0604 11.6336
0.7956 5.5218 6.6789
0.7956 0.1185 16.6191
4.3998 4.3833 9.8008
1.0024 4.3833 10.0797
-1.4695 1.7245 14.8381
-2.7333 3.5799 11.6336
-1.4695 7.3648 5.0423
```

Main lines, by intensity (5 to 70 degrees two-theta):
| d_spacing | Position (°2θ) | intensity |
| --- | --- | --- |
| 5.640 | 15.7 | 100.0 |
| 5.402 | 16.4 | 91.8 |
| 3.069 | 29.1 | 87.1 |
| 2.370 | 38.0 | 63.4 |
| 3.729 | 23.9 | 56.2 |
| 4.192 | 21.2 | 51.5 |
| 3.658 | 24.3 | 51.4 |
| 2.822 | 31.7 | 42.8 |
| 2.188 | 41.3 | 40.3 |
| 2.233 | 40.4 | 39.7 |

No. 3
The following is a computed X-ray powder pattern of KNb3F9. It was derived from a structure optimized by DFT (PBE), using Cu Ka.
No peak broadening, texture or thermal motion is included.

Atomic structure:
```
KNb3F9
1.0
7.9939 0.0000 0.0000
3.9943 6.9359 0.0000
0.1457 0.0583 8.3421
K Nb F
2 6 18
Cartesian
0.0000 0.0000 0.0000
4.4065 6.8042 4.2133
2.2845 3.3842 6.2950
2.2130 3.3517 2.1220
6.2661 3.3806 6.2617
6.2047 3.3551 2.0934
8.2045 6.8248 2.1516
8.2766 6.8542 6.3233
2.4138 3.2012 0.0343
2.5970 1.2577 6.1234
4.2093 4.1400 2.2948
2.5403 1.2354 2.3740
4.2700 4.1530 5.9923
6.6364 5.4952 5.9975
6.5771 5.4472 2.4801
6.0422 3.7057 0.0058
7.8055 6.7192 0.0715
8.5999 6.9214 4.2315
6.3691 2.9830 4.1764
5.8279 1.2579 1.7658
5.9246 1.2799 6.5834
8.2708 2.5958 6.5229
9.8767 5.4762 1.9385
8.2069 2.5618 1.8926
9.9730 5.5208 6.5421
9.9971 3.4960 4.2103
```

Main lines, by intensity (5 to 70 degrees two-theta):
| d_spacing | Position (°2θ) | intensity |
| --- | --- | --- |
| 3.464 | 25.7 | 100.0 |
| 4.171 | 21.3 | 44.2 |
| 6.929 | 12.8 | 28.6 |
| 2.001 | 45.3 | 27.6 |
| 2.086 | 43.4 | 15.7 |
| 4.000 | 22.2 | 15.1 |
| 1.794 | 50.9 | 14.0 |
| 1.998 | 45.4 | 12.0 |
| 1.733 | 52.8 | 11.0 |
| 3.588 | 24.8 | 9.9 |

No. 4
The following is a computed X-ray powder pattern of Pr2Se2O. It was derived from a structure optimized by DFT (PBE), using Cu Ka.
No peak broadening, texture or thermal motion is included.

Atomic structure:
```
Pr2Se2O
1.0
8.9490 0.0000 0.0000
0.0000 7.4107 0.0000
-1.2557 0.0000 7.3157
Pr Se O
8 8 4
Cartesian
0.2570 1.0953 2.3903
-0.3709 2.6100 6.0481
2.8866 4.0912 1.8020
2.2587 7.0248 5.4599
5.4346 0.3858 1.8558
4.8067 3.3195 5.5137
8.0641 4.8007 1.2676
7.4363 6.3154 4.9255
0.8940 4.6621 4.1675
1.5219 6.4539 0.5097
3.1949 1.6474 3.4472
2.5670 2.0580 7.1050
5.1262 5.3527 0.2107
4.4984 5.7633 3.8686
6.1714 0.9568 6.8061
6.7993 2.7486 3.1482
0.2066 0.6306 4.7507
0.8345 3.0748 1.0929
6.8588 4.3359 6.2229
7.4866 6.7801 2.5650
```

Main lines, by intensity (5 to 70 degrees two-theta):
| d_spacing | Position (°2θ) | intensity |
| --- | --- | --- |
| 3.180 | 28.1 | 100.0 |
| 3.306 | 27.0 | 35.2 |
| 2.508 | 35.8 | 35.1 |
| 3.280 | 27.2 | 32.2 |
| 2.459 | 36.5 | 30.5 |
| 2.334 | 38.6 | 29.7 |
| 2.733 | 32.8 | 28.6 |
| 3.585 | 24.8 | 27.5 |
| 2.748 | 32.6 | 22.8 |
| 1.735 | 52.8 | 22.5 |

No. 5
The following is a computed X-ray powder pattern of ScNi2. It was derived from a structure optimized by DFT (PBE), using Cu Ka.
No peak broadening, texture or thermal motion is included.

Atomic structure:
```
ScNi2
1.0
0.0000 3.4397 3.4397
3.4397 0.0000 3.4397
3.4397 3.4397 0.0000
Sc Ni
2 4
Cartesian
0.8599 0.8599 0.8599
6.0194 6.0194 6.0194
3.4397 1.7198 1.7198
1.7198 3.4397 1.7198
1.7198 1.7198 3.4397
3.4397 3.4397 3.4397
```

Main lines, by intensity (5 to 70 degrees two-theta):
| d_spacing | Position (°2θ) | intensity |
| --- | --- | --- |
| 2.074 | 43.6 | 100.0 |
| 1.986 | 45.7 | 53.2 |
| 3.972 | 22.4 | 23.7 |
| 2.432 | 37.0 | 17.4 |
| 1.720 | 53.3 | 10.9 |
| 1.404 | 66.6 | 5.2 |
| 1.578 | 58.5 | 5.1 |

No. 6
The following is a computed X-ray powder pattern of RbYMg6O8. It was derived from a structure optimized by DFT (PBE), using Cu Ka.
No peak broadening, texture or thermal motion is included.

Atomic structure:
```
RbYMg6O8
1.0
4.6485 0.0000 0.0000
0.0000 4.6485 0.0000
0.0000 0.0000 8.9680
Rb Y Mg O
1 1 6 8
Cartesian
0.0000 0.0000 0.0000
2.3242 2.3242 0.0000
0.0000 0.0000 4.4840
0.0000 2.3242 2.4203
0.0000 2.3242 6.5477
2.3242 0.0000 2.4203
2.3242 0.0000 6.5477
2.3242 2.3242 4.4840
0.0000 0.0000 2.5437
0.0000 0.0000 6.4243
0.0000 2.3242 0.0000
0.0000 2.3242 4.4840
2.3242 0.0000 0.0000
2.3242 0.0000 4.4840
2.3242 2.3242 2.3450
2.3242 2.3242 6.6230
```

Main lines, by intensity (5 to 70 degrees two-theta):
| d_spacing | Position (°2θ) | intensity |
| --- | --- | --- |
| 2.324 | 38.7 | 100.0 |
| 8.968 | 9.9 | 61.8 |
| 2.651 | 33.8 | 53.5 |
| 1.614 | 57.1 | 51.4 |
| 2.242 | 40.2 | 39.9 |
| 3.086 | 28.9 | 34.6 |
| 1.643 | 55.9 | 30.6 |
| 4.484 | 19.8 | 23.3 |
| 3.287 | 27.1 | 19.5 |
| 1.397 | 67.0 | 18.4 |

No. 7
The following is a computed X-ray powder pattern of LaMoN3. It was derived from a structure optimized by DFT (PBE), using Cu Ka.
No peak broadening, texture or thermal motion is included.

Atomic structure:
```
LaMoN3
1.0
5.4565 -5.0668 0.0000
5.4565 5.0668 0.0000
-2.0367 0.0000 6.0484
La Mo N
4 4 12
Cartesian
3.9290 4.1297 4.5363
4.9473 1.8906 1.5121
3.9290 -1.8906 4.5363
4.9473 -4.1297 1.5121
1.6457 0.9052 4.5343
2.6641 -0.9052 1.5101
6.2122 0.9052 4.5383
7.2305 -0.9052 1.5141
-0.0937 1.1346 3.9542
2.2747 2.4551 5.1712
0.9246 -1.1346 0.9300
2.7764 0.1884 3.0828
3.7947 -0.1884 0.0586
5.5832 2.4551 3.9014
3.2931 -2.4551 2.1470
5.0815 0.1884 5.9898
6.0999 -0.1884 2.9656
7.9516 1.1346 5.1184
6.6016 -2.4551 0.8772
8.9700 -1.1346 2.0942
```

Main lines, by intensity (5 to 70 degrees two-theta):
| d_spacing | Position (°2θ) | intensity |
| --- | --- | --- |
| 3.465 | 25.7 | 100.0 |
| 2.839 | 31.5 | 52.3 |
| 3.024 | 29.5 | 49.4 |
| 2.960 | 30.2 | 24.3 |
| 1.957 | 46.4 | 22.1 |
| 3.264 | 27.3 | 21.6 |
| 2.375 | 37.9 | 16.9 |
| 1.833 | 49.7 | 14.9 |
| 2.586 | 34.7 | 13.8 |
| 1.747 | 52.4 | 13.1 |

No. 8
The following is a computed X-ray powder pattern of KPrGdGeO6. It was derived from a structure optimized by DFT (PBE), using Cu Ka.
No peak broadening, texture or thermal motion is included.

Atomic structure:
```
KPrGdGeO6
1.0
0.0000 4.1080 4.1080
4.1080 0.0000 4.1080
4.1080 4.1080 0.0000
K Pr Gd Ge O
1 1 1 1 6
Cartesian
0.0000 0.0000 0.0000
4.1080 4.1080 4.1080
2.0540 2.0540 2.0540
6.1621 6.1621 6.1621
6.1621 6.1621 4.2681
6.1621 4.2681 6.1621
8.0561 6.1621 6.1621
4.2681 6.1621 6.1621
6.1621 8.0561 6.1621
6.1621 6.1621 8.0561
```

Main lines, by intensity (5 to 70 degrees two-theta):
| d_spacing | Position (°2θ) | intensity |
| --- | --- | --- |
| 2.905 | 30.8 | 100.0 |
| 1.677 | 54.7 | 39.1 |
| 2.054 | 44.1 | 32.1 |
| 4.744 | 18.7 | 21.9 |
| 1.452 | 64.1 | 19.2 |
| 2.477 | 36.3 | 15.3 |
| 1.885 | 48.3 | 8.0 |
| 4.108 | 21.6 | 5.8 |
| 1.581 | 58.4 | 4.9 |
| 1.389 | 67.4 | 4.8 |

No. 9
The following is a computed X-ray powder pattern of Rb2MnCl4. It was derived from a structure optimized by DFT (PBE), using Cu Ka.
No peak broadening, texture or thermal motion is included.

Atomic structure:
```
Rb2MnCl4
1.0
5.1103 0.0000 0.0000
0.0000 5.1103 0.0000
0.0000 0.0000 16.2931
Rb Mn Cl
4 2 8
Cartesian
0.0000 0.0000 2.3151
0.0000 0.0000 13.9780
2.5552 2.5552 5.8315
2.5552 2.5552 10.4616
0.0000 0.0000 8.1465
2.5552 2.5552 0.0000
0.0000 0.0000 5.6126
0.0000 0.0000 10.6805
0.0000 2.5552 0.0000
0.0000 2.5552 8.1465
2.5552 0.0000 0.0000
2.5552 0.0000 8.1465
2.5552 2.5552 2.5339
2.5552 2.5552 13.7592
```

Main lines, by intensity (5 to 70 degrees two-theta):
| d_spacing | Position (°2θ) | intensity |
| --- | --- | --- |
| 2.555 | 35.1 | 100.0 |
| 3.614 | 24.6 | 97.7 |
| 2.703 | 33.1 | 85.8 |
| 3.722 | 23.9 | 75.9 |
| 1.503 | 61.7 | 46.8 |
| 1.861 | 48.9 | 45.3 |
| 2.716 | 33.0 | 38.2 |
| 2.106 | 42.9 | 33.4 |
| 1.807 | 50.5 | 32.6 |
| 8.147 | 10.9 | 30.4 |

No. 10
The following is a computed X-ray powder pattern of Cs8Na4Y3HoCl24. It was derived from a structure optimized by DFT (PBE), using Cu Ka.
No peak broadening, texture or thermal motion is included.

Atomic structure:
```
Cs8Na4Y3HoCl24
1.0
7.7023 0.0000 0.0000
0.0000 10.8940 0.0000
0.0000 0.0000 15.4229
Cs Na Y Ho Cl
8 4 3 1 24
Cartesian
0.0000 2.7236 0.0000
0.0000 2.7220 7.7115
0.0000 8.1704 0.0000
0.0000 8.1720 7.7115
3.8512 2.7229 3.8568
3.8512 2.7229 11.5661
3.8512 8.1711 3.8568
3.8512 8.1711 11.5661
0.0000 0.0000 3.8589
0.0000 0.0000 11.5640
3.8512 5.4470 0.0000
3.8512 5.4470 7.7115
0.0000 5.4470 3.8557
0.0000 5.4470 11.5673
3.8512 0.0000 0.0000
3.8512 0.0000 7.7115
0.0000 2.8001 3.8559
0.0000 2.8001 11.5671
0.0000 8.0939 3.8559
0.0000 8.0939 11.5671
1.8705 5.4470 1.9833
1.8713 5.4470 5.7287
1.8713 5.4470 9.6943
1.8705 5.4470 13.4396
1.9799 0.0000 1.8731
1.9799 0.0000 13.5498
1.9931 0.0000 5.8516
1.9931 0.0000 9.5713
3.8512 2.6278 7.7115
3.8512 2.6461 0.0000
3.8512 8.2479 0.0000
3.8512 8.2662 7.7115
5.7093 0.0000 5.8516
5.7093 0.0000 9.5713
5.7224 0.0000 1.8731
5.7224 0.0000 13.5498
5.8318 5.4470 1.9833
5.8310 5.4470 5.7287
5.8310 5.4470 9.6943
5.8318 5.4470 13.4396
```

Main lines, by intensity (5 to 70 degrees two-theta):
| d_spacing | Position (°2θ) | intensity |
| --- | --- | --- |
| 3.853 | 23.1 | 100.0 |
| 2.724 | 32.9 | 73.5 |
| 1.926 | 47.2 | 49.8 |
| 3.146 | 28.4 | 47.1 |
| 2.224 | 40.6 | 46.0 |
| 1.456 | 63.9 | 24.8 |
| 1.723 | 53.2 | 21.6 |
| 6.292 | 14.1 | 18.9 |
| 1.643 | 56.0 | 17.4 |
| 1.573 | 58.7 | 16.7 |

No. 11
The following is a computed X-ray powder pattern of Ac2Br2O. It was derived from a structure optimized by DFT (PBE), using Cu Ka.
No peak broadening, texture or thermal motion is included.

Atomic structure:
```
Ac2Br2O
1.0
4.6129 0.0000 0.0000
0.0000 4.6129 0.0000
0.0000 0.0000 13.9918
Ac Br O
2 2 1
Cartesian
0.0000 0.0000 2.2363
0.0000 0.0000 11.7555
0.0000 0.0000 5.0611
0.0000 0.0000 8.9307
0.0000 0.0000 0.0000
```

Main lines, by intensity (5 to 70 degrees two-theta):
| d_spacing | Position (°2θ) | intensity |
| --- | --- | --- |
| 4.613 | 19.2 | 100.0 |
| 3.262 | 27.3 | 42.7 |
| 13.992 | 6.3 | 28.3 |
| 2.787 | 32.1 | 25.8 |
| 2.063 | 43.9 | 23.9 |
| 2.081 | 43.5 | 17.3 |
| 3.280 | 27.2 | 16.8 |
| 2.386 | 37.7 | 16.8 |
| 2.306 | 39.1 | 16.6 |
| 1.777 | 51.4 | 15.7 |